Li6Bi2O: calculated XRD peak list (Cu Kα, 1.54184 Å), based on the PBE geometry in Alexandria.
Peak positions follow from Bragg's law for the DFT cell and can differ from measured ones.

Main lines, in order of rising 2θ (15 to 90 degrees two-theta):
index	2θ (°)	I/Imax
1 1 0	20.35	98
0 0 2	20.75	47
2 0 0	28.93	51
1 1 2	29.23	100
2 0 2	35.88	60
3 1 2	51.46	42

Crystal structure
```
data_Li6Bi2O
_space_group_name_H-M_alt 'I 4/m m m'
_space_group_IT_number 139
_space_group_name_Hall '-I 4 2'
_cell_length_a 6.172
_cell_length_b 6.172
_cell_length_c 8.560
_cell_angle_alpha 90.00
_cell_angle_beta 90.00
_cell_angle_gamma 90.00
loop_
_atom_site_label
_atom_site_type_symbol
_atom_site_fract_x
_atom_site_fract_y
_atom_site_fract_z
Li1 Li 0.000 0.000 0.222
Li2 Li 0.219 0.219 0.000
Bi1 Bi 0.000 0.500 0.250
O1 O 0.000 0.000 0.000
```

Li6Bi2O7: calculated XRD peak list (Cu Kα, 1.54184 Å), based on the PBE geometry in Alexandria.
Peak positions follow from Bragg's law for the DFT cell and can differ from measured ones.

Main lines, in order of rising 2θ (15 to 90 degrees two-theta):
index	2θ (°)	I/Imax
0 1 1	16.53	100
1 0 -2	19.66	75
1 1 -1	21.41	41
1 1 1	25.67	58
0 0 4	35.09	33
1 2 2	40.31	37

Crystal structure
```
data_Li6Bi2O7
_space_group_name_H-M_alt 'P 1 21/c 1'
_space_group_IT_number 14
_space_group_name_Hall '-P 2ybc'
_cell_length_a 5.617
_cell_length_b 6.298
_cell_length_c 10.866
_cell_angle_alpha 90.00
_cell_angle_beta 109.71
_cell_angle_gamma 90.00
loop_
_atom_site_label
_atom_site_type_symbol
_atom_site_fract_x
_atom_site_fract_y
_atom_site_fract_z
Li1 Li 0.149 0.008 0.119
Li2 Li 0.189 0.211 0.355
Li3 Li 0.227 0.743 0.865
Bi1 Bi 0.273 0.016 0.635
O1 O 0.024 0.746 0.009
O2 O 0.030 0.022 0.754
O3 O 0.464 0.180 0.212
O4 O 0.500 0.000 0.500
```

Li4Bi3O8: calculated XRD peak list (Cu Kα, 1.54184 Å), based on the PBE geometry in Alexandria.
Peak positions follow from Bragg's law for the DFT cell and can differ from measured ones.

Main lines, in order of rising 2θ (15 to 90 degrees two-theta):
index	2θ (°)	I/Imax
1 0 1	15.20	48
1 1 0	25.00	100
1 0 -4	28.37	39
1 0 4	29.37	44
1 1 -3	31.23	30
0 1 4	33.10	39

Crystal structure
```
data_Li4Bi3O8
_space_group_name_H-M_alt 'P 1 21/m 1'
_space_group_IT_number 11
_space_group_name_Hall '-P 2yb'
_cell_length_a 6.529
_cell_length_b 4.251
_cell_length_c 14.050
_cell_angle_alpha 90.00
_cell_angle_beta 92.29
_cell_angle_gamma 90.00
loop_
_atom_site_label
_atom_site_type_symbol
_atom_site_fract_x
_atom_site_fract_y
_atom_site_fract_z
Li1 Li 0.044 0.250 0.178
Li2 Li 0.190 0.250 0.897
Li3 Li 0.378 0.250 0.462
Li4 Li 0.404 0.750 0.821
Bi1 Bi 0.150 0.750 0.586
Bi2 Bi 0.317 0.750 0.053
Bi3 Bi 0.327 0.750 0.307
O1 O 0.097 0.750 0.158
O2 O 0.111 0.250 0.543
O3 O 0.121 0.250 0.317
O4 O 0.177 0.750 0.917
O5 O 0.358 0.750 0.466
O6 O 0.375 0.250 0.036
O7 O 0.439 0.750 0.677
O8 O 0.460 0.250 0.833
```

Li5Bi4O12: calculated XRD peak list (Cu Kα, 1.54184 Å), based on the PBE geometry in Alexandria.
Peak positions follow from Bragg's law for the DFT cell and can differ from measured ones.

Main lines, in order of rising 2θ (15 to 90 degrees two-theta):
index	2θ (°)	I/Imax
0 0 2	17.15	70
1 0 1	17.35	32
0 1 2	17.61	100
1 3 2	30.12	36
2 0 0	33.69	35
2 0 -2	40.77	29

Crystal structure
```
data_Li5Bi4O12
_space_group_name_H-M_alt 'P -1'
_space_group_IT_number 2
_space_group_name_Hall '-P 1'
_cell_length_a 5.492
_cell_length_b 10.191
_cell_length_c 10.823
_cell_angle_alpha 75.99
_cell_angle_beta 77.87
_cell_angle_gamma 79.93
loop_
_atom_site_label
_atom_site_type_symbol
_atom_site_fract_x
_atom_site_fract_y
_atom_site_fract_z
Li1 Li 0.073 0.087 0.375
Li2 Li 0.268 0.404 0.732
Li3 Li 0.284 0.387 0.316
Li4 Li 0.287 0.244 0.036
Li5 Li 0.332 0.882 0.185
Bi1 Bi 0.178 0.926 0.888
Bi2 Bi 0.223 0.606 0.476
Bi3 Bi 0.233 0.591 0.979
Bi4 Bi 0.360 0.110 0.594
O1 O 0.002 0.532 0.368
O2 O 0.019 0.063 0.733
O3 O 0.073 0.752 0.838
O4 O 0.125 0.241 0.463
O5 O 0.143 0.419 0.914
O6 O 0.205 0.065 0.004
O7 O 0.277 0.947 0.517
O8 O 0.340 0.766 0.032
O9 O 0.392 0.435 0.126
O10 O 0.482 0.035 0.241
O11 O 0.482 0.543 0.613
O12 O 0.486 0.748 0.335
```

LiBi12O20: calculated XRD peak list (Cu Kα, 1.54184 Å), based on the PBE geometry in Alexandria.
Peak positions follow from Bragg's law for the DFT cell and can differ from measured ones.

Main lines, in order of rising 2θ (15 to 90 degrees two-theta):
index	2θ (°)	I/Imax
2 2 0	24.77	29
3 0 1	27.75	100
3 1 2	32.97	66
5 3 0	52.48	53
5 2 3	55.74	27
6 1 3	61.90	20

Crystal structure
```
data_LiBi12O20
_space_group_name_H-M_alt 'I 2 3'
_space_group_IT_number 197
_space_group_name_Hall 'I 2 2 3'
_cell_length_a 10.166
_cell_length_b 10.166
_cell_length_c 10.166
_cell_angle_alpha 90.00
_cell_angle_beta 90.00
_cell_angle_gamma 90.00
loop_
_atom_site_label
_atom_site_type_symbol
_atom_site_fract_x
_atom_site_fract_y
_atom_site_fract_z
Li1 Li 0.000 0.000 0.000
Bi1 Bi 0.003 0.314 0.828
O1 O 0.010 0.253 0.370
O2 O 0.122 0.122 0.122
O3 O 0.183 0.183 0.817
```

Li2BiO3: calculated XRD peak list (Cu Kα, 1.54184 Å), based on the PBE geometry in Alexandria.
Peak positions follow from Bragg's law for the DFT cell and can differ from measured ones.

Main lines, in order of rising 2θ (15 to 90 degrees two-theta):
index	2θ (°)	I/Imax
0 2 0	17.84	86
1 1 0	21.95	100
0 2 1	31.52	56
1 1 1	34.10	50
1 3 1	42.96	38
2 2 1	52.37	27

Crystal structure
```
data_Li2BiO3
_space_group_name_H-M_alt 'C m m m'
_space_group_IT_number 65
_space_group_name_Hall '-C 2 2'
_cell_length_a 4.433
_cell_length_b 9.943
_cell_length_c 3.457
_cell_angle_alpha 90.00
_cell_angle_beta 90.00
_cell_angle_gamma 90.00
loop_
_atom_site_label
_atom_site_type_symbol
_atom_site_fract_x
_atom_site_fract_y
_atom_site_fract_z
Li1 Li 0.000 0.156 0.000
Bi1 Bi 0.000 0.500 0.500
O1 O 0.000 0.000 0.500
O2 O 0.000 0.352 0.000
```

LiBi3O5: calculated XRD peak list (Cu Kα, 1.54184 Å), based on the PBE geometry in Alexandria.
Peak positions follow from Bragg's law for the DFT cell and can differ from measured ones.

Main lines, in order of rising 2θ (15 to 90 degrees two-theta):
index	2θ (°)	I/Imax
2 1 0	19.82	55
1 2 1	26.91	49
1 0 2	28.62	100
1 1 2	30.65	77
4 0 1	36.43	54
3 3 2	50.45	54

Crystal structure
```
data_LiBi3O5
_space_group_name_H-M_alt 'P n m a'
_space_group_IT_number 62
_space_group_name_Hall '-P 2ac 2n'
_cell_length_a 10.665
_cell_length_b 8.250
_cell_length_c 6.517
_cell_angle_alpha 90.00
_cell_angle_beta 90.00
_cell_angle_gamma 90.00
loop_
_atom_site_label
_atom_site_type_symbol
_atom_site_fract_x
_atom_site_fract_y
_atom_site_fract_z
Li1 Li 0.126 0.250 0.211
Bi1 Bi 0.050 0.750 0.354
Bi2 Bi 0.164 0.555 0.897
O1 O 0.019 0.750 0.977
O2 O 0.136 0.523 0.248
O3 O 0.185 0.750 0.615
O4 O 0.212 0.250 0.492
```

LiBiO3: calculated XRD peak list (Cu Kα, 1.54184 Å), based on the PBE geometry in Alexandria.
Peak positions follow from Bragg's law for the DFT cell and can differ from measured ones.

Main lines, in order of rising 2θ (15 to 90 degrees two-theta):
index	2θ (°)	I/Imax
0 1 2	18.96	46
1 1 1	21.76	100
1 2 1	27.77	77
1 1 3	31.85	57
0 3 2	34.05	38
2 3 2	50.08	42

Crystal structure
```
data_LiBiO3
_space_group_name_H-M_alt 'P c c n'
_space_group_IT_number 56
_space_group_name_Hall '-P 2ab 2ac'
_cell_length_a 5.044
_cell_length_b 9.010
_cell_length_c 10.952
_cell_angle_alpha 90.00
_cell_angle_beta 90.00
_cell_angle_gamma 90.00
loop_
_atom_site_label
_atom_site_type_symbol
_atom_site_fract_x
_atom_site_fract_y
_atom_site_fract_z
Li1 Li 0.000 0.211 0.095
Bi1 Bi 0.004 0.086 0.363
O1 O 0.189 0.096 0.543
O2 O 0.223 0.584 0.300
O3 O 0.250 0.250 0.278
O4 O 0.250 0.750 0.051
```